(1)
Starting from a cell relaxed with GGA-PBE, the PXRD pattern of CsTiP2S8 was computed for a wavelength of 1.5418 Å.
Peak positions follow from Bragg's law for the DFT cell and can differ from measured ones.

Top 10 peaks for 5 to 70 degrees two-theta, in order of rising 2θ:
d (Å)  two_theta  I_rel
6.228  14.22  63
5.065  17.51  100
4.787  18.53  58
4.512  19.68  46
3.697  24.08  41
3.566  24.97  43
3.044  29.34  88
2.993  29.85  44
2.988  29.90  42
2.744  32.63  48

a = 11.7567 Å, b = 11.7567 Å, c = 17.5893 Å
α = 98.20°, β = 98.20°, γ = 35.31°
Sites, in units of the cell vectors:
Cs (0.1061, 0.5755, 0.7672)
Cs (0.2103, 0.7897, 0.5000)
Cs (0.5755, 0.1061, 0.2672)
Cs (0.7897, 0.2103, 0.0000)
Ti (0.1115, 0.3596, 0.4950)
Ti (0.3596, 0.1115, 0.9950)
Ti (0.4278, 0.7413, 0.2511)
Ti (0.7413, 0.4278, 0.7511)
P (0.1786, 0.7195, 0.2506)
P (0.2184, 0.4892, 0.0081)
P (0.3405, 0.9882, 0.1336)
P (0.4892, 0.2184, 0.5081)
P (0.5099, 0.8038, 0.8593)
P (0.7195, 0.1786, 0.7506)
P (0.8038, 0.5099, 0.3593)
P (0.9882, 0.3405, 0.6336)
S (0.0019, 0.2642, 0.4230)
S (0.0047, 0.6758, 0.0984)
S (0.0228, 0.3299, 0.7511)
S (0.0982, 0.4403, 0.9443)
S (0.1046, 0.9457, 0.2935)
S (0.1118, 0.2508, 0.0794)
S (0.1264, 0.6404, 0.3127)
S (0.2098, 0.4802, 0.5474)
S (0.2322, 0.6215, 0.9635)
S (0.2508, 0.1118, 0.5794)
S (0.2642, 0.0019, 0.9230)
S (0.3299, 0.0228, 0.2511)
S (0.3549, 0.7994, 0.1132)
S (0.4403, 0.0982, 0.4443)
S (0.4661, 0.5016, 0.2204)
S (0.4741, 0.7832, 0.7429)
S (0.4802, 0.2098, 0.0474)
S (0.5016, 0.4661, 0.7204)
S (0.5170, 0.7221, 0.3878)
S (0.5836, 0.8613, 0.0930)
S (0.5904, 0.9080, 0.8922)
S (0.6215, 0.2322, 0.4635)
S (0.6404, 0.1264, 0.8127)
S (0.6758, 0.0047, 0.5984)
S (0.7221, 0.5170, 0.8878)
S (0.7832, 0.4741, 0.2429)
S (0.7994, 0.3549, 0.6132)
S (0.8578, 0.9868, 0.6465)
S (0.8613, 0.5836, 0.5930)
S (0.9080, 0.5904, 0.3922)
S (0.9457, 0.1046, 0.7935)
S (0.9868, 0.8578, 0.1465)

=====

(2)
Starting from a cell relaxed with GGA-PBE, the PXRD pattern of Cs2PSe5 was computed for a wavelength of 1.5418 Å.
Peak positions follow from Bragg's law for the DFT cell and can differ from measured ones.

Top 10 peaks for 5 to 70 degrees two-theta, in order of rising 2θ:
d (Å)  two_theta  I_rel
3.529  25.24  100
3.470  25.68  44
3.394  26.26  42
3.350  26.61  37
3.317  26.88  35
3.266  27.31  43
3.230  27.61  54
3.159  28.25  45
3.011  29.67  50
2.560  35.06  33

a = 7.6150 Å, b = 7.7723 Å, c = 10.4529 Å
α = 85.16°, β = 87.55°, γ = 85.85°
Sites, in units of the cell vectors:
Cs (0.1961, 0.3595, 0.3662)
Cs (0.2214, 0.7745, 0.9679)
Cs (0.7786, 0.2255, 0.0321)
Cs (0.8039, 0.6405, 0.6338)
P (0.2503, 0.2893, 0.7773)
P (0.7497, 0.7107, 0.2227)
Se (0.0237, 0.1721, 0.7083)
Se (0.2717, 0.2677, 0.9889)
Se (0.3036, 0.5379, 0.6745)
Se (0.4039, 0.8977, 0.4579)
Se (0.4971, 0.9018, 0.2409)
Se (0.5029, 0.0982, 0.7591)
Se (0.5961, 0.1023, 0.5421)
Se (0.6964, 0.4621, 0.3255)
Se (0.7283, 0.7323, 0.0111)
Se (0.9763, 0.8279, 0.2917)